For Ba11Sb10, a DFT-relaxed cell (PBE, the Materials Project) gives the simulated X-ray diffraction stick pattern in this record (Cu Kα).
Kinematic intensities with the Lorentz-polarization factor, no thermal factor.

Structure:
```
Ba11Sb10
1.0
-6.4217 6.6873 9.9183
6.4217 -6.6873 9.9183
6.4217 6.6873 -9.9183
Ba Sb
22 20
Cartesian
6.4217 3.3147 -3.7064
4.2141 0.0000 1.9873
8.6293 0.0000 1.9873
0.0000 0.0000 2.9536
6.4217 -2.3695 7.7351
3.2162 6.6873 -3.8862
3.2056 0.0000 6.0321
4.1872 4.4837 0.0000
2.2345 -2.2036 9.9183
0.0000 4.3178 2.1832
6.4217 3.3147 3.7064
0.0000 3.3726 6.2119
6.4217 2.3695 7.7351
4.1872 8.8909 0.0000
2.2345 2.2036 9.9183
3.2162 6.6873 3.8862
3.2056 0.0000 13.8046
0.0000 9.0568 2.1832
0.0000 0.0000 16.8831
-2.2076 6.6873 7.9311
2.2076 6.6873 7.9311
0.0000 3.3726 13.6248
2.7450 2.8176 -3.6609
10.0985 2.8175 -3.6609
1.4068 1.7374 0.0000
5.0149 -4.9499 9.9183
6.4217 2.0217 0.0000
6.4217 0.0000 4.8579
0.0000 0.0000 7.6520
2.7450 2.8176 3.6609
10.0985 2.8175 3.6609
1.4747 6.6873 0.0000
4.9470 0.0000 9.9183
-3.6768 3.8698 6.2575
3.6768 3.8697 6.2575
0.0000 0.0000 12.1846
0.0000 6.6873 5.0604
0.0000 4.6656 9.9183
1.4068 11.6372 0.0000
5.0149 4.9499 9.9183
-3.6768 3.8698 13.5792
3.6768 3.8697 13.5792
```

Largest 6 diffraction maxima, most intense first, 10° ≤ 2θ ≤ 80°:
- 2θ 27.8, I 100
- 2θ 28.2, I 56
- 2θ 28.9, I 53
- 2θ 27.0, I 47
- 2θ 30.2, I 39
- 2θ 27.3, I 32

For Ba5Sb4, a DFT-relaxed cell (PBE, the Materials Project) gives the simulated X-ray diffraction stick pattern in this record (Cu Kα).
Kinematic intensities with the Lorentz-polarization factor, no thermal factor.

Structure:
```
Ba5Sb4
1.0
9.0137 -4.5769 0.0000
9.0137 4.5769 0.0000
0.0000 0.0000 9.1974
Ba Sb
10 8
Cartesian
0.0000 0.0000 0.0000
6.3807 3.0346 6.1090
6.3807 1.5424 1.5103
11.6467 3.0346 6.1090
11.6467 1.5424 1.5103
9.0137 0.0000 4.5987
6.3807 -1.5424 7.6872
6.3807 -3.0346 3.0884
11.6467 -1.5424 7.6872
11.6467 -3.0346 3.0884
9.0137 3.5409 3.5603
3.5719 0.0000 0.0000
5.4418 0.0000 4.5987
9.0137 1.0360 8.1590
9.0137 -1.0360 1.0384
12.5856 0.0000 4.5987
14.4555 0.0000 0.0000
9.0137 -3.5409 5.6371
```

Largest 6 diffraction maxima, most intense first, 10° ≤ 2θ ≤ 80°:
- 2θ 26.3, I 100
- 2θ 27.7, I 65
- 2θ 29.5, I 63
- 2θ 31.3, I 50
- 2θ 31.2, I 49
- 2θ 29.7, I 46

For BaSb3, a DFT-relaxed cell (PBE, the Materials Project) gives the simulated X-ray diffraction stick pattern in this record (Cu Kα).
Kinematic intensities with the Lorentz-polarization factor, no thermal factor.

Structure:
```
BaSb3
1.0
5.4970 -4.3149 0.0000
5.4970 4.3149 0.0000
-2.5494 0.0000 6.0633
Ba Sb
2 6
Cartesian
0.9986 0.0000 1.9488
7.4460 0.0000 4.1146
3.4703 2.4128 1.2293
4.9743 2.4128 4.8340
3.3906 0.0000 4.6775
5.0541 0.0000 1.3858
3.4703 -2.4128 1.2293
4.9743 -2.4128 4.8340
```

Largest 6 diffraction maxima, most intense first, 10° ≤ 2θ ≤ 80°:
- 2θ 27.4, I 100
- 2θ 28.4, I 50
- 2θ 29.5, I 44
- 2θ 34.2, I 34
- 2θ 27.8, I 22
- 2θ 41.9, I 22

For Ba5Sb4, a DFT-relaxed cell (PBE, the Materials Project) gives the simulated X-ray diffraction stick pattern in this record (Cu Kα).
Kinematic intensities with the Lorentz-polarization factor, no thermal factor.

Structure:
```
Ba5Sb4
1.0
9.1556 0.0000 0.0000
0.0000 18.0227 0.0000
0.0000 0.0000 9.1974
Ba Sb
20 16
Cartesian
0.7004 1.8606 1.5276
0.7004 7.1508 1.5276
0.7924 10.8964 3.1074
0.7924 16.1377 3.1074
2.2540 4.5057 4.6121
2.3238 13.5171 0.0134
3.7854 1.8851 7.7061
3.7854 7.1263 7.7061
3.8774 10.8720 6.1263
3.8774 16.1622 6.1263
5.2782 1.8606 3.0711
5.2782 7.1508 3.0711
5.3702 10.8964 1.4913
5.3702 16.1377 1.4913
6.8318 4.5057 9.1840
6.9016 13.5171 4.5853
8.3632 1.8851 6.0900
8.3632 7.1263 6.0900
8.4552 10.8720 7.6698
8.4552 16.1622 7.6698
1.2154 4.5057 8.1836
1.2902 13.5171 5.6626
2.2655 0.9360 4.6348
2.2655 8.0754 4.6348
2.3123 9.9474 0.0360
2.3123 17.0867 0.0360
3.2876 4.5057 1.0639
3.3624 13.5171 3.5849
5.7932 4.5057 5.6126
5.8680 13.5171 8.1335
6.8433 0.9360 9.1614
6.8433 8.0754 9.1614
6.8901 9.9474 4.5627
6.8901 17.0867 4.5627
7.8654 4.5057 3.5348
7.9402 13.5171 1.0138
```

Largest 6 diffraction maxima, most intense first, 10° ≤ 2θ ≤ 80°:
- 2θ 26.3, I 100
- 2θ 27.8, I 64
- 2θ 29.5, I 63
- 2θ 31.3, I 50
- 2θ 31.2, I 49
- 2θ 29.7, I 46